This entry pairs a crystal structure of SmAuSO with its calculated powder diffractogram. Radiation: Cu Kα, 1.54184 Å. Structure: the GGA-PBE geometry in OQMD.

Cell and atoms:
```
SmAuSO
1.0
5.7005 0.0000 0.0000
0.0000 9.1047 0.0000
0.0000 0.0000 5.7135
Sm Au S O
4 4 4 4
Cartesian
0.0000 1.1505 1.4284 Sm
0.0000 7.9542 4.2851 Sm
2.8503 1.1505 4.2851 Sm
2.8503 7.9542 1.4284 Sm
1.4251 4.5523 1.4078 Au
1.4251 4.5523 4.2645 Au
4.2754 4.5523 1.4490 Au
4.2754 4.5523 4.3057 Au
0.0000 2.6136 4.2851 S
0.0000 6.4910 1.4284 S
2.8503 2.6136 1.4284 S
2.8503 6.4910 4.2851 S
1.4251 0.0000 0.0011 O
1.4251 0.0000 2.8578 O
4.2754 0.0000 5.7124 O
4.2754 0.0000 2.8557 O
```

Most intense lines, 2θ from 10° to 90°, in order of rising 2θ:
2theta	d/Å	I_rel
19.50	4.552	64
29.43	3.035	52
29.58	3.020	79
31.31	2.857	83
32.92	2.721	100
37.22	2.416	48
43.51	2.080	51
46.08	1.970	84